(1)
Structure and calculated XRD peak list of Sm8Ga48Cu3 (DFT lattice parameters and positions (GGA-PBE); Cu Kα).

Largest 10 diffraction maxima, by angle, 10 to 90 degrees two-theta:
two_theta	Rel. int.
31.17	49
31.54	100
37.64	27
40.98	37
41.85	58
46.28	19
52.13	13
53.09	27
60.68	13
68.97	19

```
data_Sm8Ga48Cu3
_chemical_formula_sum 'Sm8 Ga48 Cu3'
_space_group_name_H-M_alt 'P -4 2 m'
_space_group_IT_number 111
_cell_length_a 6.105
_cell_length_b 6.105
_cell_length_c 30.727
_cell_angle_alpha 90.00
_cell_angle_beta 90.00
_cell_angle_gamma 90.00
loop_
_space_group_symop_operation_xyz
'x,y,z'
'y,-x,-z'
'-x,-y,z'
'-y,x,-z'
'x,-y,-z'
'y,x,z'
'-x,y,-z'
'-y,-x,z'
loop_
_atom_site_label
_atom_site_fract_x
_atom_site_fract_y
_atom_site_fract_z
Sm1 0.000 0.000 0.123
Sm2 0.000 0.000 0.376
Sm3 0.500 0.500 0.123
Sm4 0.500 0.500 0.377
Ga1 0.000 0.500 0.090
Ga2 0.000 0.500 0.169
Ga3 0.000 0.500 0.331
Ga4 0.000 0.500 0.411
Ga5 0.178 0.178 0.213
Ga6 0.178 0.178 0.713
Ga7 0.241 0.241 0.459
Ga8 0.243 0.243 0.542
Ga9 0.249 0.249 0.957
Ga10 0.251 0.251 0.043
Ga11 0.323 0.323 0.287
Ga12 0.323 0.323 0.787
Cu1 0.000 0.000 0.000
Cu2 0.500 0.500 0.000
Cu3 0.500 0.500 0.500
```


(2)
Structure and calculated XRD peak list of NaYSi2O6 (DFT lattice parameters and positions (GGA-PBE); Cu Kα).

Largest 10 diffraction maxima, by angle, 10 to 90 degrees two-theta:
two_theta	Rel. int.
13.74	65
15.34	91
22.77	62
28.52	51
28.78	69
28.90	52
29.59	73
30.59	100
33.71	58
47.18	37

```
data_NaYSi2O6
_chemical_formula_sum 'Na12 Y12 Si24 O72'
_space_group_name_H-M_alt 'C 1 2/c 1'
_space_group_IT_number 15
_cell_length_a 8.302
_cell_length_b 10.529
_cell_length_c 17.855
_cell_angle_alpha 90.00
_cell_angle_beta 100.88
_cell_angle_gamma 90.00
loop_
_space_group_symop_operation_xyz
'x,y,z'
'-x,-y,-z'
'-x,y,-z+1/2'
'x,-y,z+1/2'
'x+1/2,y+1/2,z'
'-x+1/2,-y+1/2,-z'
'-x+1/2,y+1/2,-z+1/2'
'x+1/2,-y+1/2,z+1/2'
loop_
_atom_site_label
_atom_site_fract_x
_atom_site_fract_y
_atom_site_fract_z
Na1 0.000 0.124 0.250
Na2 0.179 0.184 0.083
Y1 0.000 0.392 0.750
Y2 0.187 0.452 0.573
Si1 0.006 0.173 0.601
Si2 0.137 0.328 0.398
Si3 0.234 0.120 0.743
O1 0.005 0.324 0.878
O2 0.032 0.404 0.452
O3 0.060 0.089 0.681
O4 0.095 0.180 0.384
O5 0.127 0.403 0.315
O6 0.159 0.117 0.951
O7 0.166 0.158 0.557
O8 0.214 0.495 0.198
O9 0.228 0.261 0.777
```


(3)
Structure and calculated XRD peak list of NaSb3O8 (DFT lattice parameters and positions (GGA-PBE); Cu Kα).

Largest 10 diffraction maxima, by angle, 10 to 90 degrees two-theta:
two_theta	Rel. int.
14.99	48
29.40	100
30.25	95
34.51	20
34.61	42
48.65	19
49.68	63
58.36	28
58.73	17
59.82	30

```
data_NaSb3O8
_chemical_formula_sum 'Na4 Sb12 O32'
_space_group_name_H-M_alt 'I b a m'
_space_group_IT_number 72
_space_group_name_Hall '-I 2 2c'
_cell_length_a 7.184
_cell_length_b 10.396
_cell_length_c 7.486
_cell_angle_alpha 90.00
_cell_angle_beta 90.00
_cell_angle_gamma 90.00
loop_
_atom_site_label
_atom_site_fract_x
_atom_site_fract_y
_atom_site_fract_z
Na1 0.000 0.000 0.250
Sb1 0.000 0.500 0.250
Sb2 0.239 0.253 0.000
O1 0.012 0.164 0.500
O2 0.116 0.423 0.000
O3 0.202 0.363 0.295
```


(4)
Structure and calculated XRD peak list of Ca3La3B5O15 (DFT lattice parameters and positions (GGA-PBE); Cu Kα).

Largest 10 diffraction maxima, by angle, 10 to 90 degrees two-theta:
two_theta	Rel. int.
16.76	68
23.79	100
27.68	22
29.21	72
33.81	61
33.99	57
41.76	56
44.24	35
46.68	34
54.78	30

```
data_Ca3La3B5O15
_chemical_formula_sum 'Ca6 La6 B10 O30'
_space_group_name_H-M_alt 'P 63 m c'
_space_group_IT_number 186
_space_group_name_Hall 'P 6c -2c'
_cell_length_a 10.6047
_cell_length_b 10.6047
_cell_length_c 6.4446
_cell_angle_alpha 90.00
_cell_angle_beta 90.00
_cell_angle_gamma 120.00
loop_
_atom_site_label
_atom_site_fract_x
_atom_site_fract_y
_atom_site_fract_z
Ca1 0.0540 0.5270 0.0000
La1 0.1556 0.3112 0.3153
B1 0.0000 0.0000 0.4820
B2 0.1979 0.3959 0.7836
B3 0.3333 0.6667 0.3340
O1 0.0716 0.3718 0.6822
O2 0.0753 0.1506 0.9753
O3 0.1809 0.5904 0.3333
O4 0.2259 0.4519 0.9808
```


(5)
Structure and calculated XRD peak list of Sr2IrN3 (DFT lattice parameters and positions (GGA-PBE); Cu Kα).

Largest 10 diffraction maxima, by angle, 10 to 90 degrees two-theta:
two_theta	Rel. int.
15.62	81
21.97	48
28.70	38
31.41	100
32.54	82
32.68	48
32.83	69
34.77	30
35.37	57
42.14	27

```
data_Sr2IrN3
_chemical_formula_sum 'Sr16 Ir8 N24'
_space_group_name_H-M_alt 'C 1 2/c 1'
_space_group_IT_number 15
_cell_length_a 5.527
_cell_length_b 11.344
_cell_length_c 12.495
_cell_angle_alpha 90.00
_cell_angle_beta 95.43
_cell_angle_gamma 90.00
loop_
_space_group_symop_operation_xyz
'x,y,z'
'-x,-y,-z'
'-x,y,-z+1/2'
'x,-y,z+1/2'
'x+1/2,y+1/2,z'
'-x+1/2,-y+1/2,-z'
'-x+1/2,y+1/2,-z+1/2'
'x+1/2,-y+1/2,z+1/2'
loop_
_atom_site_label
_atom_site_fract_x
_atom_site_fract_y
_atom_site_fract_z
Sr1 0.221 0.200 0.356
Sr2 0.234 0.108 0.925
Ir1 0.206 0.496 0.831
N1 0.000 0.001 0.750
N2 0.000 0.382 0.250
N3 0.207 0.332 0.866
N4 0.248 0.405 0.457
```


(6)
Structure and calculated XRD peak list of Tl3Bi (DFT lattice parameters and positions (GGA-PBE); Cu Kα).

Largest 10 diffraction maxima, by angle, 10 to 90 degrees two-theta:
two_theta	Rel. int.
28.85	23
31.07	26
32.86	100
42.91	16
51.12	20
56.43	22
61.04	23
62.12	17
84.53	15
86.92	9

```
data_Tl3Bi
_chemical_formula_sum 'Tl3 Bi1'
_space_group_name_H-M_alt 'P -6 m 2'
_space_group_IT_number 187
_space_group_name_Hall 'P -6 2'
_cell_length_a 3.5734
_cell_length_b 3.5734
_cell_length_c 11.5122
_cell_angle_alpha 90.00
_cell_angle_beta 90.00
_cell_angle_gamma 120.00
loop_
_atom_site_label
_atom_site_fract_x
_atom_site_fract_y
_atom_site_fract_z
Tl1 0.0000 0.0000 0.0000
Tl2 0.6667 0.3333 0.2503
Bi1 0.0000 0.0000 0.5000
```


Copy entry 3 word for word.
Structure and calculated XRD peak list of NaSb3O8 (DFT lattice parameters and positions (GGA-PBE); Cu Kα).

Largest 10 diffraction maxima, by angle, 10 to 90 degrees two-theta:
two_theta	Rel. int.
14.99	48
29.40	100
30.25	95
34.51	20
34.61	42
48.65	19
49.68	63
58.36	28
58.73	17
59.82	30

```
data_NaSb3O8
_chemical_formula_sum 'Na4 Sb12 O32'
_space_group_name_H-M_alt 'I b a m'
_space_group_IT_number 72
_space_group_name_Hall '-I 2 2c'
_cell_length_a 7.184
_cell_length_b 10.396
_cell_length_c 7.486
_cell_angle_alpha 90.00
_cell_angle_beta 90.00
_cell_angle_gamma 90.00
loop_
_atom_site_label
_atom_site_fract_x
_atom_site_fract_y
_atom_site_fract_z
Na1 0.000 0.000 0.250
Sb1 0.000 0.500 0.250
Sb2 0.239 0.253 0.000
O1 0.012 0.164 0.500
O2 0.116 0.423 0.000
O3 0.202 0.363 0.295
```